Computed X-ray diffraction stick pattern of LiTe4AuO14 for Cu Kα (weighted mean of Kα1 and Kα2), from DFT lattice parameters and positions (GGA-PBE).
Peak positions follow from Bragg's law for the DFT cell and can differ from measured ones.

Structure:
```
LiTe4AuO14
1.0
5.5313 0.0000 0.0000
1.9786 6.2668 0.0000
0.7313 3.0308 7.7596
Li Te Au O
1 4 1 14
Cartesian
0.0000 0.0000 0.0000
2.6123 7.0226 5.9568
3.7377 3.7223 6.3199
4.5035 5.5753 1.4397
5.6289 2.2749 1.8028
1.3550 4.6488 3.8798
2.1723 7.4712 7.6703
1.5613 3.3381 2.3630
2.8827 6.2726 1.9787
3.6922 7.5879 4.6390
3.0241 3.8030 4.5829
4.5707 8.6723 7.1566
3.8568 5.5806 6.6215
4.3845 3.7170 1.1381
3.6705 0.6253 0.6030
5.2172 5.4946 3.1767
4.5490 1.7097 3.1206
5.3585 3.0250 5.7809
6.6799 5.9595 5.3966
6.0690 1.8264 0.0893
```

Top 10 peaks for 15° ≤ 2θ ≤ 90°, sorted by position:
- d 5.784, 15.32 deg, intensity 31
- d 4.418, 20.10 deg, intensity 76
- d 3.586, 24.83 deg, intensity 100
- d 3.462, 25.73 deg, intensity 85
- d 3.446, 25.85 deg, intensity 41
- d 3.139, 28.43 deg, intensity 38
- d 2.908, 30.74 deg, intensity 46
- d 2.892, 30.92 deg, intensity 62
- d 2.636, 34.01 deg, intensity 30
- d 2.165, 41.71 deg, intensity 26

---

Computed X-ray diffraction stick pattern of LiOsAu3S4 for Cu Kα (weighted mean of Kα1 and Kα2), from DFT lattice parameters and positions (GGA-PBE).
Peak positions follow from Bragg's law for the DFT cell and can differ from measured ones.

Structure:
```
LiOsAu3S4
1.0
5.8711 0.0000 0.0000
0.0000 5.8711 0.0000
0.0000 0.0000 5.8711
Li Os Au S
1 1 3 4
Cartesian
0.0000 0.0000 0.0000
2.9356 2.9356 2.9356
0.0000 2.9356 2.9356
2.9356 0.0000 2.9356
2.9356 2.9356 0.0000
1.5251 1.5251 1.5251
1.5251 4.3461 4.3461
4.3461 1.5251 4.3461
4.3461 4.3461 1.5251
```

Top 10 peaks for 15° ≤ 2θ ≤ 90°, sorted by position:
- d 5.871, 15.09 deg, intensity 100
- d 3.390, 26.29 deg, intensity 47
- d 2.936, 30.45 deg, intensity 54
- d 2.626, 34.15 deg, intensity 52
- d 2.076, 43.60 deg, intensity 81
- d 1.957, 46.40 deg, intensity 30
- d 1.770, 51.63 deg, intensity 22
- d 1.424, 65.56 deg, intensity 16
- d 1.313, 71.92 deg, intensity 20
- d 1.198, 80.07 deg, intensity 28

---

Computed X-ray diffraction stick pattern of LiOsAuSe2S for Cu Kα (weighted mean of Kα1 and Kα2), from DFT lattice parameters and positions (GGA-PBE).
Peak positions follow from Bragg's law for the DFT cell and can differ from measured ones.

Structure:
```
LiOsAuSe2S
1.0
1.9437 -7.3357 0.0000
1.9437 7.3357 0.0000
0.0000 0.0000 8.9424
Li Os Au Se S
2 2 2 4 2
Cartesian
1.9437 4.1596 6.7068
1.9437 -4.1596 2.2356
1.9437 0.0000 0.0000
1.9437 0.0000 4.4712
1.9437 4.9865 2.2356
1.9437 -4.9865 6.7068
1.9437 5.6028 4.6163
1.9437 5.6028 8.7972
1.9437 -5.6028 0.1451
1.9437 -5.6028 4.3261
1.9437 0.0019 2.2356
1.9437 -0.0019 6.7068
```

Top 10 peaks for 15° ≤ 2θ ≤ 90°, sorted by position:
- d 5.672, 15.62 deg, intensity 41
- d 3.818, 23.30 deg, intensity 42
- d 3.464, 25.72 deg, intensity 24
- d 3.043, 29.35 deg, intensity 100
- d 2.342, 38.44 deg, intensity 15
- d 2.236, 40.34 deg, intensity 26
- d 2.075, 43.63 deg, intensity 32
- d 1.944, 46.73 deg, intensity 18
- d 1.802, 50.67 deg, intensity 43
- d 1.258, 75.60 deg, intensity 15

---

Computed X-ray diffraction stick pattern of LiTe2OsAuS for Cu Kα (weighted mean of Kα1 and Kα2), from DFT lattice parameters and positions (GGA-PBE).
Peak positions follow from Bragg's law for the DFT cell and can differ from measured ones.

Structure:
```
LiTe2OsAuS
1.0
2.0665 -7.8051 0.0000
2.0665 7.8051 0.0000
0.0000 0.0000 9.0274
Li Te Os Au S
2 4 2 2 2
Cartesian
2.0665 4.0649 6.7706
2.0665 -4.0649 2.2569
2.0665 5.9667 4.7841
2.0665 5.9667 8.7570
2.0665 -5.9667 0.2704
2.0665 -5.9667 4.2433
2.0665 0.0000 0.0000
2.0665 0.0000 4.5137
2.0665 5.3368 2.2569
2.0665 -5.3368 6.7706
2.0665 0.1295 6.7706
2.0665 -0.1295 2.2569
```

Top 10 peaks for 15° ≤ 2θ ≤ 90°, sorted by position:
- d 5.904, 15.01 deg, intensity 23
- d 3.907, 22.76 deg, intensity 39
- d 3.236, 27.56 deg, intensity 100
- d 2.808, 31.87 deg, intensity 21
- d 2.491, 36.05 deg, intensity 22
- d 2.403, 37.43 deg, intensity 26
- d 2.257, 39.95 deg, intensity 22
- d 2.181, 41.40 deg, intensity 34
- d 2.066, 43.81 deg, intensity 20
- d 1.851, 49.22 deg, intensity 35

---

Computed X-ray diffraction stick pattern of Li4P2PtAu for Cu Kα (weighted mean of Kα1 and Kα2), from DFT lattice parameters and positions (GGA-PBE).
Peak positions follow from Bragg's law for the DFT cell and can differ from measured ones.

Structure:
```
Li4P2PtAu
1.0
4.2108 0.0000 0.0000
0.0000 4.2108 0.0000
0.0000 0.0000 5.9715
Li P Pt Au
4 2 1 1
Cartesian
0.0000 0.0000 0.0000
0.0000 2.1054 1.4635
2.1054 0.0000 4.5080
2.1054 2.1054 2.9858
0.0000 2.1054 4.5779
2.1054 0.0000 1.3936
2.1054 2.1054 0.0000
0.0000 0.0000 2.9858
```

Top 10 peaks for 15° ≤ 2θ ≤ 90°, sorted by position:
- d 3.441, 25.89 deg, intensity 100
- d 2.980, 29.98 deg, intensity 38
- d 2.107, 42.92 deg, intensity 60
- d 1.800, 50.73 deg, intensity 16
- d 1.796, 50.84 deg, intensity 33
- d 1.721, 53.24 deg, intensity 11
- d 1.367, 68.63 deg, intensity 20
- d 1.332, 70.73 deg, intensity 9
- d 1.216, 78.68 deg, intensity 14
- d 1.146, 84.51 deg, intensity 12

---

Computed X-ray diffraction stick pattern of SrLi2PAu for Cu Kα (weighted mean of Kα1 and Kα2), from DFT lattice parameters and positions (GGA-PBE).
Peak positions follow from Bragg's law for the DFT cell and can differ from measured ones.

Structure:
```
SrLi2PAu
1.0
4.1962 0.0000 0.0000
0.0000 4.1962 0.0000
0.0000 0.0000 11.4462
Sr Li P Au
2 4 2 2
Cartesian
0.0000 0.0000 0.0000
2.0981 2.0981 5.7231
0.0000 2.0981 2.5091
0.0000 2.0981 8.2322
2.0981 0.0000 2.5091
2.0981 0.0000 8.2322
0.0000 0.0000 6.8578
2.0981 2.0981 1.1347
0.0000 0.0000 4.2507
2.0981 2.0981 9.9738
```

Top 10 peaks for 15° ≤ 2θ ≤ 90°, sorted by position:
- d 5.723, 15.48 deg, intensity 61
- d 3.940, 22.57 deg, intensity 67
- d 2.967, 30.12 deg, intensity 76
- d 2.823, 31.70 deg, intensity 100
- d 2.634, 34.03 deg, intensity 46
- d 2.098, 43.12 deg, intensity 32
- d 2.010, 45.12 deg, intensity 44
- d 1.852, 49.20 deg, intensity 18
- d 1.684, 54.49 deg, intensity 44
- d 1.451, 64.17 deg, intensity 31

---

Q: What is the formula in the fifth record?
A: Li4P2PtAu